Record 1
Diffraction record for Tm4Sn3Hg. The powder diffraction line list is theoretical, not measured: it uses DFT lattice parameters and positions (GGA-PBE) and CuKα.
Peak positions follow from Bragg's law for the DFT cell and can differ from measured ones.

Structure:
```
data_Tm4Sn3Hg
_space_group_name_H-M_alt 'P 1'
_space_group_IT_number 1
_cell_length_a 4.306
_cell_length_b 4.376
_cell_length_c 11.299
_cell_angle_alpha 90.00
_cell_angle_beta 90.00
_cell_angle_gamma 90.00
loop_
_space_group_symop_operation_xyz
'x,y,z'
loop_
_atom_site_label
_atom_site_fract_x
_atom_site_fract_y
_atom_site_fract_z
Tm1 0.000 0.000 0.000
Tm2 0.000 0.500 0.498
Tm3 0.500 0.000 0.269
Tm4 0.500 0.500 0.771
Sn1 0.000 0.000 0.728
Sn2 0.000 0.500 0.222
Sn3 0.500 0.000 0.538
Hg1 0.500 0.500 0.040
```

Main lines, by angle (5 to 70 degrees two-theta):
2theta  intensity  (hkl)
30.2  100  1 1 1
31.3  14  0 1 3
31.7  36  0 0 4
37.8  71  1 1 3
38.1  14  1 0 4
41.3  25  0 2 0
42.0  24  2 0 0
52.9  17  0 2 4
53.5  17  2 0 4
60.3  16  2 2 0
69.4  12  3 1 1
69.7  15  2 2 4

Record 2
Diffraction record for Ca3NdH. The powder diffraction line list is theoretical, not measured: it uses DFT lattice parameters and positions (GGA-PBE) and CuKα.
Peak positions follow from Bragg's law for the DFT cell and can differ from measured ones.

Structure:
```
data_Ca3NdH
_space_group_name_H-M_alt 'P 1'
_space_group_IT_number 1
_cell_length_a 5.318
_cell_length_b 5.318
_cell_length_c 5.318
_cell_angle_alpha 90.00
_cell_angle_beta 90.00
_cell_angle_gamma 90.00
loop_
_space_group_symop_operation_xyz
'x,y,z'
loop_
_atom_site_label
_atom_site_fract_x
_atom_site_fract_y
_atom_site_fract_z
Ca1 0.000 0.000 0.500
Ca2 0.000 0.500 0.000
Ca3 0.500 0.000 0.000
Nd1 0.500 0.500 0.500
H1 0.000 0.000 0.000
```

Main lines, by angle (5 to 70 degrees two-theta):
2theta  intensity  (hkl)
16.7  37  1 0 0
23.7  36  1 1 0
29.1  100  1 1 1
33.7  51  2 0 0
37.8  21  2 1 0
41.6  17  2 1 1
48.4  35  2 2 0
51.6  11  3 0 0
54.6  8  3 1 0
57.5  41  3 1 1
60.3  12  2 2 2
65.7  9  3 2 1